No. 1
Calculated powder diffraction line list of Ti4Mn for Cu Kα, from the GGA-PBE geometry in Alexandria.
Lines closer than 0.1° are merged.

Atomic structure:
abc: 12.690 8.969 10.345
angles: 90.00 126.12 90.00
Space group C2/c (No. 15)
Inequivalent atoms, fractional coordinates:
Ti 0.000 0.231 0.250 (multiplicity 4)
Ti 0.039 0.261 0.541 (multiplicity 8)
Ti 0.107 0.024 0.933 (multiplicity 8)
Ti 0.118 0.486 0.248 (multiplicity 8)
Ti 0.156 0.045 0.226 (multiplicity 8)
Ti 0.241 0.273 0.130 (multiplicity 8)
Ti 0.250 0.250 0.500 (multiplicity 4)
Mn 0.000 0.248 0.750 (multiplicity 4)
Mn 0.121 0.494 0.500 (multiplicity 8)

Peak list (8 most intense, 15° ≤ 2θ ≤ 90°, low angle first)
| d (Å) | two_theta | I/Imax | index |
| --- | --- | --- | --- |
| 2.282 | 39.50 | 125 | 1 1 3 |
| 2.259 | 39.91 | 119 | 1 1 -4 |
| 2.242 | 40.22 | 461 | 0 4 0 |
| 2.225 | 40.55 | 1000 | 4 2 0 |
| 2.213 | 40.78 | 155 | 5 1 -4 |
| 2.199 | 41.05 | 298 | 2 2 -4 |
| 2.177 | 41.47 | 346 | 4 2 -4 |
| 2.089 | 43.31 | 132 | 0 0 4 |

---

No. 2
Calculated powder diffraction line list of Ti3Mn2 for Cu Kα, from the GGA-PBE geometry in Alexandria.
Lines closer than 0.1° are merged.

Atomic structure:
abc: 3.003 3.003 15.626
angles: 90.00 90.00 90.00
Space group P4/mmm (No. 123)
Inequivalent atoms, fractional coordinates:
Ti 0.000 0.000 0.000 (multiplicity 1)
Ti 0.000 0.000 0.191 (multiplicity 2)
Ti 0.000 0.000 0.377 (multiplicity 2)
Ti 0.500 0.500 0.500 (multiplicity 1)
Mn 0.500 0.500 0.095 (multiplicity 2)
Mn 0.500 0.500 0.289 (multiplicity 2)

Peak list (8 most intense, 15° ≤ 2θ ≤ 90°, low angle first)
| d (Å) | two_theta | I/Imax | index |
| --- | --- | --- | --- |
| 2.165 | 41.71 | 1000 | 1 0 5 |
| 2.123 | 42.58 | 543 | 1 1 0 |
| 1.967 | 46.14 | 91 | 1 0 6 |
| 1.563 | 59.12 | 52 | 0 0 10 |
| 1.501 | 61.79 | 162 | 2 0 0 |
| 1.259 | 75.55 | 93 | 1 1 10 |
| 1.234 | 77.34 | 271 | 2 1 5 |
| 1.181 | 81.53 | 44 | 1 1 11 |

---

No. 3
Calculated powder diffraction line list of Ti4Mn for Cu Kα, from the GGA-PBE geometry in Alexandria.
Lines closer than 0.1° are merged.

Atomic structure:
abc: 5.314 5.314 5.655
angles: 90.00 90.00 90.00
Space group P-42_1c (No. 114)
Inequivalent atoms, fractional coordinates:
Ti 0.123 0.273 0.346 (multiplicity 8)
Mn 0.000 0.000 0.000 (multiplicity 2)

Peak list (8 most intense, 15° ≤ 2θ ≤ 90°, low angle first)
| d (Å) | two_theta | I/Imax | index |
| --- | --- | --- | --- |
| 2.496 | 35.98 | 347 | 1 0 2 |
| 2.405 | 37.40 | 316 | 2 0 1 |
| 2.376 | 37.86 | 652 | 2 1 0 |
| 2.259 | 39.90 | 833 | 1 1 2 |
| 2.191 | 41.21 | 1000 | 2 1 1 |
| 1.936 | 46.93 | 204 | 2 0 2 |
| 1.819 | 50.15 | 223 | 2 1 2 |
| 1.776 | 51.44 | 234 | 1 0 3 |

---

No. 4
Calculated powder diffraction line list of Ti5MnZn2 for Cu Kα, from the GGA-PBE geometry in Alexandria.
Lines closer than 0.1° are merged.

Atomic structure:
abc: 4.470 4.470 12.270
angles: 90.00 90.00 90.00
Space group I4/mmm (No. 139)
Inequivalent atoms, fractional coordinates:
Ti 0.000 0.000 0.000 (multiplicity 2)
Ti 0.000 0.500 0.118 (multiplicity 8)
Mn 0.000 0.000 0.500 (multiplicity 2)
Zn 0.000 0.000 0.250 (multiplicity 4)

Peak list (8 most intense, 15° ≤ 2θ ≤ 90°, low angle first)
| d (Å) | two_theta | I/Imax | index |
| --- | --- | --- | --- |
| 2.235 | 40.36 | 532 | 2 0 0 |
| 2.201 | 41.00 | 1000 | 1 1 4 |
| 1.580 | 58.40 | 164 | 2 2 0 |
| 1.534 | 60.35 | 70 | 0 0 8 |
| 1.284 | 73.82 | 303 | 3 1 4 |
| 1.265 | 75.12 | 138 | 2 0 8 |
| 1.117 | 87.25 | 48 | 4 0 0 |
| 1.101 | 88.93 | 88 | 2 2 8 |

---

No. 5
Calculated powder diffraction line list of ZrTiMn for Cu Kα, from the GGA-PBE geometry in Alexandria.
Lines closer than 0.1° are merged.

Atomic structure:
abc: 5.008 5.544 7.127
angles: 90.00 90.00 90.00
Space group Imma (No. 74)
Inequivalent atoms, fractional coordinates:
Zr 0.000 0.250 0.118 (multiplicity 4)
Ti 0.000 0.000 0.500 (multiplicity 4)
Mn 0.250 0.250 0.750 (multiplicity 4)

Peak list (8 most intense, 15° ≤ 2θ ≤ 90°, low angle first)
| d (Å) | two_theta | I/Imax | index |
| --- | --- | --- | --- |
| 2.772 | 32.30 | 333 | 0 2 0 |
| 2.572 | 34.88 | 894 | 1 1 2 |
| 2.296 | 39.24 | 1000 | 1 2 1 |
| 2.185 | 41.32 | 826 | 0 1 3 |
| 2.173 | 41.55 | 886 | 2 1 1 |
| 2.146 | 42.10 | 322 | 1 0 3 |
| 2.049 | 44.21 | 321 | 2 0 2 |
| 1.286 | 73.66 | 390 | 2 2 4 |

---

No. 6
Calculated powder diffraction line list of MnTl for Cu Kα, from the GGA-PBE geometry in Alexandria.
Lines closer than 0.1° are merged.

Atomic structure:
abc: 10.380 10.380 3.119
angles: 90.00 90.00 90.00
Space group P4/m (No. 83)
Inequivalent atoms, fractional coordinates:
Mn 0.027 0.633 0.000 (multiplicity 4)
Mn 0.160 0.467 0.500 (multiplicity 4)
Tl 0.130 0.172 0.500 (multiplicity 4)
Tl 0.326 0.636 0.000 (multiplicity 4)

Peak list (8 most intense, 15° ≤ 2θ ≤ 90°, low angle first)
| d (Å) | two_theta | I/Imax | index |
| --- | --- | --- | --- |
| 5.190 | 17.08 | 137 | 2 0 0 |
| 3.283 | 27.17 | 451 | 3 1 0 |
| 2.987 | 29.91 | 331 | 1 0 1 |
| 2.593 | 34.59 | 285 | 4 0 0 |
| 2.447 | 36.73 | 378 | 3 3 0 |
| 2.318 | 38.86 | 1000 | 3 0 1 |
| 1.729 | 52.97 | 330 | 3 4 1 |
| 1.439 | 64.79 | 140 | 6 4 0 |

---

No. 7
Calculated powder diffraction line list of Mn7Tl6 for Cu Kα, from the GGA-PBE geometry in Alexandria.
Lines closer than 0.1° are merged.

Atomic structure:
abc: 5.5887 5.5887 29.3087
angles: 90.00 90.00 120.00
Space group R-3m (No. 166, hexagonal axes)
Inequivalent atoms, fractional coordinates:
Mn 0.0000 0.0000 0.0000 (multiplicity 3)
Mn 0.0062 0.5031 0.5871 (multiplicity 18)
Tl 0.0000 0.0000 0.1678 (multiplicity 6)
Tl 0.0000 0.0000 0.3378 (multiplicity 6)
Tl 0.0000 0.0000 0.4421 (multiplicity 6)

Peak list (8 most intense, 15° ≤ 2θ ≤ 90°, low angle first)
| d (Å) | two_theta | I/Imax | index |
| --- | --- | --- | --- |
| 2.921 | 30.60 | 353 | 0 1 8 |
| 2.794 | 32.03 | 1000 | 1 1 0 |
| 2.507 | 35.82 | 392 | 1 0 10 |
| 2.426 | 37.06 | 557 | 1 1 6 |
| 2.412 | 37.28 | 195 | 0 2 1 |
| 1.613 | 57.09 | 200 | 3 0 0 |
| 1.407 | 66.46 | 317 | 1 1 18 |
| 1.397 | 66.98 | 231 | 2 2 0 |

---

Question: Number 2 is which compound?
Answer: Ti3Mn2

---

Question: Which formula does entry 6 have?
Answer: MnTl